No. 1
Diffraction record for PuCdNi. The PXRD pattern is computed, not measured: it uses a crystal structure in Alexandria, relaxed with PBE and Cu Kα (λ = 1.5418 Å).
Neutral-atom scattering factors, no anomalous dispersion.

Main lines, low angle first (2θ from 15° to 90°):
2θ 18.78, d = 4.724 Å, I 16, hkl 0 0 2; 2θ 33.82, d = 2.650 Å, I 25, hkl 2 0 0; 2θ 34.50, d = 2.600 Å, I 65, hkl 1 1 3; 2θ 34.82, d = 2.577 Å, I 100, hkl 1 3 1; 2θ 38.97, d = 2.311 Å, I 26, hkl 2 0 2; 2θ 42.94, d = 2.106 Å, I 20, hkl 0 2 4; 2θ 43.33, d = 2.088 Å, I 18, hkl 0 4 2; 2θ 43.72, d = 2.070 Å, I 34, hkl 2 2 2; 2θ 59.91, d = 1.544 Å, I 20, hkl 1 3 5; 2θ 61.15, d = 1.516 Å, I 20, hkl 3 3 1

```
data_PuCdNi
_chemical_formula_sum 'Pu8 Cd8 Ni8'
_cell_length_a 5.301
_cell_length_b 9.311
_cell_length_c 9.448
_cell_angle_alpha 90.00
_cell_angle_beta 90.00
_cell_angle_gamma 90.00
_space_group_name_H-M_alt 'F m m m'
_space_group_IT_number 69
_space_group_name_Hall '-F 2 2'
loop_
_atom_site_label
_atom_site_type_symbol
_atom_site_fract_x
_atom_site_fract_y
_atom_site_fract_z
Pu1 Pu 0.000 0.166 0.000
Cd1 Cd 0.000 0.000 0.336
Ni1 Ni 0.250 0.250 0.250
```

---

No. 2
Diffraction record for CdReNi6. The PXRD pattern is computed, not measured: it uses a crystal structure in Alexandria, relaxed with PBE and Cu Kα (λ = 1.5418 Å).
Neutral-atom scattering factors, no anomalous dispersion.

Main lines, low angle first (2θ from 15° to 90°):
2θ 24.24, d = 3.672 Å, I 20, hkl 2 0 0; 2θ 34.54, d = 2.597 Å, I 16, hkl 0 0 4; 2θ 42.64, d = 2.120 Å, I 100, hkl 2 4 0; 2θ 49.65, d = 1.836 Å, I 47, hkl 4 0 0; 2θ 55.99, d = 1.642 Å, I 9, hkl 4 2 2; 2θ 61.89, d = 1.499 Å, I 7, hkl 4 0 4; 2θ 72.84, d = 1.299 Å, I 23, hkl 4 4 4; 2θ 72.91, d = 1.297 Å, I 5, hkl 0 8 0; 2θ 78.06, d = 1.224 Å, I 4, hkl 6 0 0; 2θ 88.25, d = 1.107 Å, I 33, hkl 2 8 4

```
data_CdReNi6
_chemical_formula_sum 'Cd8 Re8 Ni48'
_cell_length_a 7.345
_cell_length_b 10.379
_cell_length_c 10.394
_cell_angle_alpha 90.00
_cell_angle_beta 90.00
_cell_angle_gamma 90.00
_space_group_name_H-M_alt 'C m m m'
_space_group_IT_number 65
_space_group_name_Hall '-C 2 2'
loop_
_atom_site_label
_atom_site_type_symbol
_atom_site_fract_x
_atom_site_fract_y
_atom_site_fract_z
Cd1 Cd 0.000 0.000 0.248
Cd2 Cd 0.000 0.245 0.500
Re1 Re 0.000 0.246 0.000
Re2 Re 0.000 0.500 0.256
Ni1 Ni 0.000 0.000 0.000
Ni2 Ni 0.000 0.000 0.500
Ni3 Ni 0.000 0.256 0.239
Ni4 Ni 0.000 0.500 0.000
Ni5 Ni 0.000 0.500 0.500
Ni6 Ni 0.239 0.378 0.368
Ni7 Ni 0.241 0.371 0.119
```

---

No. 3
Diffraction record for CdNiRh2. The PXRD pattern is computed, not measured: it uses a crystal structure in Alexandria, relaxed with PBE and Cu Kα (λ = 1.5418 Å).
Neutral-atom scattering factors, no anomalous dispersion.

Main lines, low angle first (2θ from 15° to 90°):
2θ 30.00, d = 2.979 Å, I 7, hkl 0 0 3; 2θ 38.62, d = 2.331 Å, I 33, hkl 0 2 0; 2θ 40.37, d = 2.234 Å, I 25, hkl 0 0 4; 2θ 41.95, d = 2.154 Å, I 100, hkl 1 1 2; 2θ 57.10, d = 1.613 Å, I 18, hkl 0 2 4; 2θ 64.44, d = 1.446 Å, I 13, hkl 2 0 0; 2θ 72.16, d = 1.309 Å, I 19, hkl 1 3 2; 2θ 74.49, d = 1.274 Å, I 13, hkl 1 1 6; 2θ 77.71, d = 1.229 Å, I 8, hkl 2 2 0; 2θ 78.84, d = 1.214 Å, I 7, hkl 2 0 4

```
data_CdNiRh2
_chemical_formula_sum 'Cd2 Ni2 Rh4'
_cell_length_a 2.892
_cell_length_b 4.663
_cell_length_c 8.937
_cell_angle_alpha 90.00
_cell_angle_beta 90.00
_cell_angle_gamma 90.00
_space_group_name_H-M_alt 'C m m m'
_space_group_IT_number 65
_space_group_name_Hall '-C 2 2'
loop_
_atom_site_label
_atom_site_type_symbol
_atom_site_fract_x
_atom_site_fract_y
_atom_site_fract_z
Cd1 Cd 0.000 0.000 0.000
Ni1 Ni 0.000 0.000 0.500
Rh1 Rh 0.000 0.500 0.270
```

---

No. 4
Diffraction record for Cd4NiRu. The PXRD pattern is computed, not measured: it uses a crystal structure in Alexandria, relaxed with PBE and Cu Kα (λ = 1.5418 Å).
Neutral-atom scattering factors, no anomalous dispersion.

Main lines, low angle first (2θ from 15° to 90°):
2θ 19.94, d = 4.452 Å, I 19, hkl 1 1 1; 2θ 32.85, d = 2.726 Å, I 18, hkl 2 2 0; 2θ 38.73, d = 2.325 Å, I 100, hkl 3 1 1; 2θ 40.52, d = 2.226 Å, I 51, hkl 2 2 2; 2θ 47.14, d = 1.928 Å, I 10, hkl 4 0 0; 2θ 58.65, d = 1.574 Å, I 7, hkl 4 2 2; 2θ 62.59, d = 1.484 Å, I 31, hkl 5 1 1; 2θ 68.88, d = 1.363 Å, I 27, hkl 4 4 0; 2θ 81.92, d = 1.176 Å, I 11, hkl 5 3 3; 2θ 83.08, d = 1.163 Å, I 18, hkl 6 2 2

```
data_Cd4NiRu
_chemical_formula_sum 'Cd16 Ni4 Ru4'
_cell_length_a 7.712
_cell_length_b 7.712
_cell_length_c 7.712
_cell_angle_alpha 90.00
_cell_angle_beta 90.00
_cell_angle_gamma 90.00
_space_group_name_H-M_alt 'F -4 3 m'
_space_group_IT_number 216
_space_group_name_Hall 'F -4 2 3'
loop_
_atom_site_label
_atom_site_type_symbol
_atom_site_fract_x
_atom_site_fract_y
_atom_site_fract_z
Cd1 Cd 0.125 0.125 0.125
Ni1 Ni 0.250 0.250 0.750
Ru1 Ru 0.000 0.000 0.500
```